Record 1
Structure and computed PXRD pattern of ZnAsHPbO5 (a GGA-PBE-relaxed structure; Cu Kα).
Lines closer than 0.1° are merged.

Crystal structure
Cell lengths 6.207, 7.868, 9.463 Å; angles 90.00, 90.00, 90.00 degrees
Space group P2_12_12_1 (No. 19)
Inequivalent atoms, fractional coordinates:
1 Zn 0.223 0.220 0.017 (multiplicity 4)
2 As 0.016 0.869 0.184 (multiplicity 4)
3 H 0.019 0.492 0.991 (multiplicity 4)
4 Pb 0.039 0.372 0.674 (multiplicity 4)
5 O 0.007 0.382 0.940 (multiplicity 4)
6 O 0.008 0.546 0.425 (multiplicity 4)
7 O 0.067 0.699 0.074 (multiplicity 4)
8 O 0.225 0.348 0.224 (multiplicity 4)
9 O 0.241 0.882 0.293 (multiplicity 4)

Peak list (6 most intense, 2θ = 10–90°, by angle)
(1 1 1), 2θ 20.5, I 40
(1 2 0), 2θ 26.8, I 100
(0 1 3), 2θ 30.5, I 63
(2 1 1), 2θ 32.4, I 44
(1 2 2), 2θ 32.9, I 48
(1 1 3), 2θ 33.9, I 53

Record 2
Structure and computed PXRD pattern of PrAsH2O4 (a GGA-PBE-relaxed structure; Cu Kα).
Lines closer than 0.1° are merged.

Crystal structure
Cell lengths 4.836, 5.650, 6.334 Å; angles 90.00, 90.00, 90.00 degrees
Space group I222 (No. 23)
Inequivalent atoms, fractional coordinates:
1 Pr 0.000 0.000 0.000 (multiplicity 2)
2 As 0.000 0.000 0.500 (multiplicity 2)
3 H 0.000 0.500 0.197 (multiplicity 4)
4 O 0.201 0.366 0.796 (multiplicity 8)

Peak list (6 most intense, 2θ = 10–90°, by angle)
(1 1 0), 2θ 24.2, I 100
(0 0 2), 2θ 28.2, I 21
(0 2 0), 2θ 31.7, I 29
(1 1 2), 2θ 37.5, I 86
(0 2 2), 2θ 42.9, I 27
(2 0 2), 2θ 47.3, I 27

Record 3
Structure and computed PXRD pattern of TlAs2H2O6 (a GGA-PBE-relaxed structure; Cu Kα).
Lines closer than 0.1° are merged.

Crystal structure
Cell lengths 4.973, 5.601, 6.315 Å; angles 103.98, 93.89, 101.99 degrees
Space group P-1 (No. 2)
Inequivalent atoms, fractional coordinates:
1 Tl 0.000 0.000 0.000 (multiplicity 1)
2 As 0.445 0.730 0.455 (multiplicity 2)
3 H 0.017 0.424 0.706 (multiplicity 2)
4 O 0.167 0.618 0.235 (multiplicity 2)
5 O 0.325 0.495 0.626 (multiplicity 2)
6 O 0.356 0.006 0.651 (multiplicity 2)

Peak list (6 most intense, 2θ = 10–90°, by angle)
(1 0 -1), 2θ 22.0, I 100
(1 0 1), 2θ 24.9, I 74
(0 1 1), 2θ 25.0, I 46
(1 -1 1), 2θ 25.2, I 43
(0 2 -1), 2θ 33.2, I 32
(2 -1 0), 2θ 37.2, I 31

Record 4
Structure and computed PXRD pattern of UAsH2O6 (a GGA-PBE-relaxed structure; Cu Kα).
Lines closer than 0.1° are merged.

Crystal structure
Cell lengths 4.764, 5.959, 8.524 Å; angles 90.00, 118.00, 90.00 degrees
Space group P2_1/c (No. 14)
Inequivalent atoms, fractional coordinates:
1 U 0.000 0.000 0.000 (multiplicity 2)
2 As 0.500 0.000 0.500 (multiplicity 2)
3 H 0.185 0.062 0.657 (multiplicity 4)
4 O 0.148 0.002 0.273 (multiplicity 4)
5 O 0.259 0.153 0.586 (multiplicity 4)
6 O 0.374 0.723 0.541 (multiplicity 4)

Peak list (6 most intense, 2θ = 10–90°, by angle)
(0 1 1), 2θ 19.0, I 28
(0 0 2), 2θ 23.6, I 53
(1 1 -1), 2θ 24.0, I 100
(0 2 0), 2θ 30.0, I 26
(1 1 1), 2θ 32.5, I 38
(1 1 -3), 2θ 35.3, I 28